Starting from a structure optimized by DFT (GGA-PBE), the X-ray powder pattern of Sr5Mg was simulated for a wavelength of 1.5418 Å.
No peak broadening, texture or thermal motion is included.

Cell and atoms:
abc: 6.4513 9.8527 9.8527
angles: 27.45 90.00 90.00
Atoms (fractional coordinates):
Sr1 0.0000 0.0000 0.0000
Sr2 0.0000 0.3045 0.3045
Sr3 0.5000 0.1529 0.1529
Sr4 0.5000 0.4862 0.4862
Sr5 0.5000 0.8202 0.8202
Mg1 0.0000 0.6517 0.6517

Principal peaks in the range 10° ≤ 2θ ≤ 80°, by intensity:
| 2theta | d (Å) | I (rel.) |
| --- | --- | --- |
| 27.39 | 3.256 | 1000 |
| 27.65 | 3.226 | 251 |
| 27.97 | 3.190 | 218 |
| 48.75 | 1.868 | 201 |
| 39.74 | 2.268 | 169 |
| 49.13 | 1.854 | 157 |
| 56.53 | 1.628 | 118 |
| 48.06 | 1.893 | 108 |
| 64.79 | 1.439 | 107 |
| 38.51 | 2.338 | 103 |
| 48.26 | 1.886 | 95 |
| 63.06 | 1.474 | 92 |